Calculated powder X-ray diffraction pattern
Compound: Tm6NiRh3
Radiation: copper Kα
Structure: a cell relaxed with GGA-PBE

```
20
Lattice="8.0327 0.0000 0.0000 0.0000 11.7928 0.0000 0.0000 0.0000 4.6833" Properties=species:S:1:pos:R:3 pbc="T T T"
Tm 0.0098 2.8597 0.0000
Tm 1.2518 4.8306 2.3416
Tm 1.4041 0.9491 2.3416
Tm 2.6122 6.8455 0.0000
Tm 2.7645 10.7270 0.0000
Tm 4.0066 8.7561 2.3416
Tm 4.0261 3.0367 2.3416
Tm 5.2682 1.0658 0.0000
Tm 5.4204 4.9473 0.0000
Tm 6.6286 10.8437 2.3416
Tm 6.7808 6.9622 2.3416
Tm 8.0229 8.9331 0.0000
Ni 0.0000 5.8964 0.0000
Ni 4.0163 0.0000 2.3416
Rh 0.0000 0.0000 0.0000
Rh 1.3385 9.8869 2.3416
Rh 2.6779 3.9905 0.0000
Rh 4.0163 5.8964 2.3416
Rh 5.3548 7.8023 0.0000
Rh 6.6942 1.9059 2.3416
```

Largest 10 diffraction maxima, by angle, 2θ from 10° to 80°:
2θ/deg, I_rel, index
26.72, 21, 1 2 1
31.74, 56, 1 3 1
31.85, 28, 2 3 0
37.76, 64, 1 4 1
37.86, 30, 2 4 0
38.44, 52, 0 0 2
38.74, 100, 3 0 1
44.49, 19, 2 5 0
55.05, 20, 2 4 2
69.73, 18, 3 0 3

***

Calculated powder X-ray diffraction pattern
Compound: Ac6CoOs
Radiation: copper Kα
Structure: a cell relaxed with GGA-PBE

```
16
Lattice="7.2055 0.0000 0.0000 -3.6027 6.2401 0.0000 0.0000 0.0000 13.8309" Properties=species:S:1:pos:R:3 pbc="T T T"
Ac -1.1584 2.1082 1.7314
Ac -2.3562 4.1828 5.1841
Ac 1.1584 2.1082 5.1841
Ac -1.1978 6.1892 1.7314
Ac 2.4050 0.0509 8.6468
Ac 1.2466 2.0573 12.0995
Ac 2.3562 4.1828 1.7314
Ac 1.1978 6.1892 5.1841
Ac 4.8005 0.0509 12.0995
Ac 2.4443 4.1319 8.6468
Ac 5.9589 2.0573 8.6468
Ac 4.7611 4.1319 12.0995
Co 0.0000 4.1601 3.4577
Co 3.6027 2.0800 10.3732
Os 0.0000 0.0000 0.0000
Os 0.0000 0.0000 6.9155
```

Largest 10 diffraction maxima, by angle, 2θ from 10° to 80°:
2θ/deg, I_rel, index
25.77, 18, 0 0 4
27.92, 100, 2 -1 2
36.00, 32, 1 1 4
43.51, 29, 3 0 0
46.79, 25, 1 1 6
51.26, 17, 3 0 4
52.49, 18, 2 2 2
65.80, 9, 4 -2 6
70.48, 15, 5 -1 2
70.88, 14, 3 0 8